# 1
Y3Tl2Rh: calculated powder XRD pattern (Cu Kα (weighted mean of Kα1 and Kα2)), based on the PBE geometry in Alexandria.
Neutral-atom scattering factors, no anomalous dispersion.

Largest 10 diffraction maxima, most intense first, 10° ≤ 2θ ≤ 80°:
d (Å), intensity
2.794, 1000
2.571, 562
2.305, 512
2.651, 493
3.059, 393
4.012, 327
4.088, 309
2.346, 223
2.006, 220
2.077, 203

Cell and atoms:
```
Y3Tl2Rh
1.0
12.9641 0.0000 0.0000
0.0000 4.6096 0.0000
0.0000 0.0000 10.5356
Y Tl Rh
12 8 4
direct
0.0607 0.2500 0.1025 Y
0.1094 0.7500 0.5484 Y
0.2333 0.7500 0.2682 Y
0.2667 0.2500 0.7682 Y
0.3906 0.2500 0.0484 Y
0.4393 0.7500 0.6025 Y
0.5607 0.2500 0.3975 Y
0.6094 0.7500 0.9516 Y
0.7333 0.7500 0.2318 Y
0.7667 0.2500 0.7318 Y
0.8906 0.2500 0.4516 Y
0.9393 0.7500 0.8975 Y
0.0231 0.2500 0.7249 Tl
0.1938 0.7500 0.9667 Tl
0.3062 0.2500 0.4667 Tl
0.4769 0.7500 0.2249 Tl
0.5231 0.2500 0.7751 Tl
0.6938 0.7500 0.5333 Tl
0.8062 0.2500 0.0333 Tl
0.9769 0.7500 0.2751 Tl
0.1085 0.2500 0.3588 Rh
0.3915 0.7500 0.8588 Rh
0.6085 0.2500 0.1412 Rh
0.8915 0.7500 0.6412 Rh
```

---

# 2
Y5TlRh: calculated powder XRD pattern (Cu Kα (weighted mean of Kα1 and Kα2)), based on the PBE geometry in Alexandria.
Neutral-atom scattering factors, no anomalous dispersion.

Largest 10 diffraction maxima, most intense first, 10° ≤ 2θ ≤ 80°:
d (Å), intensity
2.871, 1000
2.786, 915
2.909, 648
2.674, 579
4.476, 561
2.954, 475
3.139, 285
2.403, 268
2.276, 262
2.283, 231

Cell and atoms:
```
Y5TlRh
1.0
4.6624 -3.7409 0.0000
4.6624 3.7409 0.0000
-3.2529 0.0000 11.4704
Y Tl Rh
10 2 2
direct
0.0015 0.9985 0.7500 Y
0.0790 0.4192 0.1238 Y
0.2119 0.5430 0.4365 Y
0.4192 0.0790 0.6238 Y
0.4570 0.7881 0.0635 Y
0.5430 0.2119 0.9365 Y
0.5808 0.9210 0.3762 Y
0.7881 0.4570 0.5635 Y
0.9210 0.5808 0.8762 Y
0.9985 0.0015 0.2500 Y
0.4097 0.5903 0.7500 Tl
0.5903 0.4097 0.2500 Tl
0.0000 0.0000 0.0000 Rh
0.0000 0.0000 0.5000 Rh
```

---

# 3
Y11Tl9Rh4: calculated powder XRD pattern (Cu Kα (weighted mean of Kα1 and Kα2)), based on the PBE geometry in Alexandria.
Neutral-atom scattering factors, no anomalous dispersion.

Largest 10 diffraction maxima, most intense first, 10° ≤ 2θ ≤ 80°:
d (Å), intensity
2.612, 1000
2.598, 500
1.511, 219
1.857, 170
3.714, 155
2.393, 133
2.746, 129
2.129, 126
2.414, 123
2.934, 121

Cell and atoms:
```
Y11Tl9Rh4
1.0
7.3540 -11.0111 0.0000
7.3540 11.0111 0.0000
0.0000 0.0000 3.7144
Y Tl Rh
11 9 4
direct
0.0000 0.0000 0.0000 Y
0.0815 0.4168 0.0000 Y
0.1634 0.8366 0.0000 Y
0.3114 0.3114 0.0000 Y
0.3738 0.6262 0.0000 Y
0.4168 0.0815 0.0000 Y
0.5832 0.9185 0.0000 Y
0.6262 0.3738 0.0000 Y
0.6886 0.6886 0.0000 Y
0.8366 0.1634 0.0000 Y
0.9185 0.5832 0.0000 Y
0.0711 0.2168 0.5000 Tl
0.1533 0.6302 0.5000 Tl
0.2168 0.0711 0.5000 Tl
0.3698 0.8467 0.5000 Tl
0.5000 0.5000 0.5000 Tl
0.6302 0.1533 0.5000 Tl
0.7832 0.9289 0.5000 Tl
0.8467 0.3698 0.5000 Tl
0.9289 0.7832 0.5000 Tl
0.2480 0.4494 0.5000 Rh
0.4494 0.2480 0.5000 Rh
0.5506 0.7520 0.5000 Rh
0.7520 0.5506 0.5000 Rh
```

---

# 4
Y6Tl3Rh: calculated powder XRD pattern (Cu Kα (weighted mean of Kα1 and Kα2)), based on the PBE geometry in Alexandria.
Neutral-atom scattering factors, no anomalous dispersion.

Largest 10 diffraction maxima, most intense first, 10° ≤ 2θ ≤ 80°:
d (Å), intensity
2.955, 1000
2.613, 838
2.624, 441
1.948, 261
3.583, 220
1.791, 211
1.954, 208
1.961, 197
4.226, 189
1.567, 184

Cell and atoms:
```
Y6Tl3Rh
1.0
9.0411 0.0000 0.0000
0.0000 11.6928 0.0000
0.0000 0.0000 5.2473
Y Tl Rh
12 6 2
direct
0.0100 0.2359 0.0000 Y
0.1581 0.0831 0.5000 Y
0.1855 0.4164 0.5000 Y
0.3145 0.9164 0.0000 Y
0.3419 0.5831 0.0000 Y
0.4900 0.7359 0.5000 Y
0.5100 0.2641 0.5000 Y
0.6581 0.4169 0.0000 Y
0.6855 0.0836 0.0000 Y
0.8145 0.5836 0.5000 Y
0.8419 0.9169 0.5000 Y
0.9900 0.7641 0.0000 Y
0.0000 0.5000 0.0000 Tl
0.1560 0.7399 0.5000 Tl
0.3440 0.2399 0.0000 Tl
0.5000 0.0000 0.5000 Tl
0.6560 0.7601 0.0000 Tl
0.8440 0.2601 0.5000 Tl
0.0000 0.0000 0.0000 Rh
0.5000 0.5000 0.5000 Rh
```

---

# 5
Zr6Tl3Rh: calculated powder XRD pattern (Cu Kα (weighted mean of Kα1 and Kα2)), based on the PBE geometry in Alexandria.
Neutral-atom scattering factors, no anomalous dispersion.

Largest 10 diffraction maxima, most intense first, 10° ≤ 2θ ≤ 80°:
d (Å), intensity
2.642, 1000
2.393, 862
2.492, 850
2.527, 850
2.306, 818
2.962, 525
2.503, 509
2.425, 505
2.825, 504
5.086, 500

Cell and atoms:
```
Zr6Tl3Rh
1.0
5.1972 -2.9599 0.0000
5.1972 2.9599 0.0000
-2.3044 0.0000 7.5103
Zr Tl Rh
6 3 1
direct
0.1075 0.6174 0.1746 Zr
0.1351 0.1351 0.4249 Zr
0.3826 0.8925 0.8254 Zr
0.6174 0.1075 0.1746 Zr
0.8649 0.8649 0.5751 Zr
0.8925 0.3826 0.8254 Zr
0.3763 0.3763 0.8027 Tl
0.5000 0.5000 0.5000 Tl
0.6237 0.6237 0.1973 Tl
0.0000 0.0000 0.0000 Rh
```

---

# 6
Tm3Rh: calculated powder XRD pattern (Cu Kα (weighted mean of Kα1 and Kα2)), based on the PBE geometry in Alexandria.
Neutral-atom scattering factors, no anomalous dispersion.

Largest 10 diffraction maxima, most intense first, 10° ≤ 2θ ≤ 80°:
d (Å), intensity
2.353, 1000
2.548, 893
2.817, 807
2.897, 722
2.525, 588
2.463, 391
1.559, 335
3.117, 333
2.849, 281
1.654, 259

Cell and atoms:
```
Tm3Rh
1.0
11.3949 0.0000 0.0000
0.0000 11.3949 0.0000
0.0000 0.0000 6.2102
Tm Rh
24 8
direct
0.0364 0.5919 0.2011 Tm
0.0919 0.9636 0.7011 Tm
0.1156 0.1926 0.0244 Tm
0.1163 0.6650 0.6926 Tm
0.1650 0.8837 0.1926 Tm
0.1926 0.3844 0.4756 Tm
0.3074 0.1156 0.4756 Tm
0.3350 0.6163 0.1926 Tm
0.3844 0.3074 0.0244 Tm
0.3837 0.8350 0.6926 Tm
0.4081 0.5364 0.7011 Tm
0.4636 0.9081 0.2011 Tm
0.5364 0.0919 0.7989 Tm
0.5919 0.4636 0.2989 Tm
0.6163 0.1650 0.3074 Tm
0.6156 0.6926 0.9756 Tm
0.6650 0.3837 0.8074 Tm
0.6926 0.8844 0.5244 Tm
0.8074 0.6156 0.5244 Tm
0.8350 0.1163 0.8074 Tm
0.8837 0.3350 0.3074 Tm
0.8844 0.8074 0.9756 Tm
0.9081 0.0364 0.2989 Tm
0.9636 0.4081 0.7989 Tm
0.0570 0.1838 0.5138 Rh
0.1838 0.4430 0.9862 Rh
0.3162 0.0570 0.9862 Rh
0.4430 0.3162 0.5138 Rh
0.5570 0.6838 0.4862 Rh
0.6838 0.9430 0.0138 Rh
0.8162 0.5570 0.0138 Rh
0.9430 0.8162 0.4862 Rh
```

---

Copy entry 6 word for word.
Tm3Rh: calculated powder XRD pattern (Cu Kα (weighted mean of Kα1 and Kα2)), based on the PBE geometry in Alexandria.
Neutral-atom scattering factors, no anomalous dispersion.

Largest 10 diffraction maxima, most intense first, 10° ≤ 2θ ≤ 80°:
d (Å), intensity
2.353, 1000
2.548, 893
2.817, 807
2.897, 722
2.525, 588
2.463, 391
1.559, 335
3.117, 333
2.849, 281
1.654, 259

Cell and atoms:
```
Tm3Rh
1.0
11.3949 0.0000 0.0000
0.0000 11.3949 0.0000
0.0000 0.0000 6.2102
Tm Rh
24 8
direct
0.0364 0.5919 0.2011 Tm
0.0919 0.9636 0.7011 Tm
0.1156 0.1926 0.0244 Tm
0.1163 0.6650 0.6926 Tm
0.1650 0.8837 0.1926 Tm
0.1926 0.3844 0.4756 Tm
0.3074 0.1156 0.4756 Tm
0.3350 0.6163 0.1926 Tm
0.3844 0.3074 0.0244 Tm
0.3837 0.8350 0.6926 Tm
0.4081 0.5364 0.7011 Tm
0.4636 0.9081 0.2011 Tm
0.5364 0.0919 0.7989 Tm
0.5919 0.4636 0.2989 Tm
0.6163 0.1650 0.3074 Tm
0.6156 0.6926 0.9756 Tm
0.6650 0.3837 0.8074 Tm
0.6926 0.8844 0.5244 Tm
0.8074 0.6156 0.5244 Tm
0.8350 0.1163 0.8074 Tm
0.8837 0.3350 0.3074 Tm
0.8844 0.8074 0.9756 Tm
0.9081 0.0364 0.2989 Tm
0.9636 0.4081 0.7989 Tm
0.0570 0.1838 0.5138 Rh
0.1838 0.4430 0.9862 Rh
0.3162 0.0570 0.9862 Rh
0.4430 0.3162 0.5138 Rh
0.5570 0.6838 0.4862 Rh
0.6838 0.9430 0.0138 Rh
0.8162 0.5570 0.0138 Rh
0.9430 0.8162 0.4862 Rh
```

---

Copy entry 6 word for word.
Tm3Rh: calculated powder XRD pattern (Cu Kα (weighted mean of Kα1 and Kα2)), based on the PBE geometry in Alexandria.
Neutral-atom scattering factors, no anomalous dispersion.

Largest 10 diffraction maxima, most intense first, 10° ≤ 2θ ≤ 80°:
d (Å), intensity
2.353, 1000
2.548, 893
2.817, 807
2.897, 722
2.525, 588
2.463, 391
1.559, 335
3.117, 333
2.849, 281
1.654, 259

Cell and atoms:
```
Tm3Rh
1.0
11.3949 0.0000 0.0000
0.0000 11.3949 0.0000
0.0000 0.0000 6.2102
Tm Rh
24 8
direct
0.0364 0.5919 0.2011 Tm
0.0919 0.9636 0.7011 Tm
0.1156 0.1926 0.0244 Tm
0.1163 0.6650 0.6926 Tm
0.1650 0.8837 0.1926 Tm
0.1926 0.3844 0.4756 Tm
0.3074 0.1156 0.4756 Tm
0.3350 0.6163 0.1926 Tm
0.3844 0.3074 0.0244 Tm
0.3837 0.8350 0.6926 Tm
0.4081 0.5364 0.7011 Tm
0.4636 0.9081 0.2011 Tm
0.5364 0.0919 0.7989 Tm
0.5919 0.4636 0.2989 Tm
0.6163 0.1650 0.3074 Tm
0.6156 0.6926 0.9756 Tm
0.6650 0.3837 0.8074 Tm
0.6926 0.8844 0.5244 Tm
0.8074 0.6156 0.5244 Tm
0.8350 0.1163 0.8074 Tm
0.8837 0.3350 0.3074 Tm
0.8844 0.8074 0.9756 Tm
0.9081 0.0364 0.2989 Tm
0.9636 0.4081 0.7989 Tm
0.0570 0.1838 0.5138 Rh
0.1838 0.4430 0.9862 Rh
0.3162 0.0570 0.9862 Rh
0.4430 0.3162 0.5138 Rh
0.5570 0.6838 0.4862 Rh
0.6838 0.9430 0.0138 Rh
0.8162 0.5570 0.0138 Rh
0.9430 0.8162 0.4862 Rh
```